Starting from the GGA-PBE geometry in Alexandria, the XRD peak list of Mg6ZnCuO8 was simulated for λ = 1.5418 Å (Cu Kα).

Structure:
Cell: 4.268 4.268 8.523 Å, 90.00 90.00 90.00°
Space group P4/mmm (No. 123)
Symmetry-distinct sites (fractional):
Mg 0.000 0.000 0.000 x1
Mg 0.000 0.500 0.252 x4
Mg 0.500 0.500 0.000 x1
Zn 0.000 0.000 0.500 x1
Cu 0.500 0.500 0.500 x1
O 0.000 0.000 0.247 x2
O 0.000 0.500 0.000 x2
O 0.000 0.500 0.500 x2
O 0.500 0.500 0.249 x2

Most intense lines, 2θ = 15–90°, in order of rising 2θ:
2θ (°)  Rel. int.  h k l
20.8  9  0 0 2
29.6  8  1 1 0
31.5  17  0 0 3
36.5  31  1 1 2
42.4  100  2 0 0
43.7  12  1 1 3
47.7  4  2 0 2
53.7  4  0 0 5
61.5  57  2 2 0
70.7  5  2 0 5
73.7  15  3 1 2
77.5  17  2 2 4

Starting from the GGA-PBE geometry in Alexandria, the XRD peak list of Mg14ZnCuO16 was simulated for λ = 1.5418 Å (Cu Kα).

Structure:
Cell: 4.249 8.524 8.543 Å, 90.00 90.00 90.00°
Space group Pmmm (No. 47)
Symmetry-distinct sites (fractional):
Mg 0.000 0.000 0.000 x1
Mg 0.000 0.249 0.251 x4
Mg 0.000 0.500 0.000 x1
Mg 0.500 0.000 0.251 x2
Mg 0.500 0.249 0.500 x2
Mg 0.500 0.250 0.000 x2
Mg 0.500 0.500 0.250 x2
Zn 0.000 0.500 0.500 x1
Cu 0.000 0.000 0.500 x1
O 0.000 0.000 0.246 x2
O 0.000 0.250 0.000 x2
O 0.000 0.251 0.500 x2
O 0.000 0.500 0.246 x2
O 0.500 0.000 0.000 x1
O 0.500 0.000 0.500 x1
O 0.500 0.250 0.251 x4
O 0.500 0.500 0.000 x1
O 0.500 0.500 0.500 x1

Most intense lines, 2θ = 15–90°, in order of rising 2θ:
2θ (°)  Rel. int.  h k l
20.8  16  0 0 2
23.4  23  1 0 1
29.7  20  1 2 0
31.5  11  1 2 1
36.5  54  1 2 2
42.3  89  0 0 4
42.4  88  0 4 0
42.6  88  2 0 0
61.5  50  0 4 4
61.6  100  2 4 0
73.6  10  1 2 6
77.6  46  2 4 4

Starting from the GGA-PBE geometry in Alexandria, the XRD peak list of MgCuP4 was simulated for λ = 1.5418 Å (Cu Kα).

Structure:
Cell: 9.8089 9.8089 3.4981 Å, 90.00 90.00 120.00°
Space group P-62m (No. 189)
Symmetry-distinct sites (fractional):
Mg 0.0000 0.6003 0.0000 x3
Cu 0.0000 0.0000 0.0000 x1
Cu 0.3333 0.6667 0.0000 x2
P 0.0000 0.3457 0.0000 x3
P 0.0000 0.8185 0.5000 x3
P 0.2018 0.4246 0.5000 x6

Most intense lines, 2θ = 15–90°, in order of rising 2θ:
2θ (°)  Rel. int.  h k l
18.1  24  1 1 0
31.4  23  1 1 1
31.6  26  3 0 0
33.2  16  2 0 1
36.6  12  2 2 0
38.0  16  2 1 1
38.2  17  3 1 0
41.0  100  3 0 1
52.3  16  0 0 2
54.0  11  5 0 0
56.3  15  3 3 0
80.4  11  3 3 2

Starting from the GGA-PBE geometry in Alexandria, the XRD peak list of MgZnCuP was simulated for λ = 1.5418 Å (Cu Kα).

Structure:
Cell: 3.739 3.829 4.885 Å, 89.83 67.62 89.97°
Space group P1 (No. 1)
Symmetry-distinct sites (fractional):
Mg 0.000 0.000 0.000 x1
Zn 0.702 0.503 0.606 x1
Cu 0.422 0.498 0.160 x1
P 0.283 0.997 0.435 x1

Most intense lines, 2θ = 15–90°, in order of rising 2θ:
2θ (°)  Rel. int.  h k l
23.2  33  0 1 0
25.8  31  1 0 1
35.0  100  1 1 1
38.4  43  1 0 2
39.9  15  0 0 2
45.3  42  1 1 -1
45.4  14  1 -1 2
46.6  20  0 1 2
46.8  19  0 1 -2
47.5  26  0 2 0
48.7  24  2 0 1
70.4  15  2 -2 1

Starting from the GGA-PBE geometry in Alexandria, the XRD peak list of MgCu3Pb was simulated for λ = 1.5418 Å (Cu Kα).

Structure:
Cell: 4.691 4.691 4.691 Å, 90.00 90.00 90.00°
Space group Pm-3m (No. 221)
Symmetry-distinct sites (fractional):
Mg 0.000 0.000 0.000 x1
Cu 0.000 0.000 0.500 x3
Pb 0.500 0.500 0.500 x1

Most intense lines, 2θ = 15–90°, in order of rising 2θ:
2θ (°)  Rel. int.  h k l
18.9  22  1 0 0
26.9  43  1 1 0
33.1  100  1 1 1
38.4  64  2 0 0
43.1  12  2 1 0
47.5  20  2 1 1
55.4  43  2 2 0
62.6  9  3 1 0
66.1  39  3 1 1
69.4  14  2 2 2
75.9  11  3 2 1
82.2  7  4 0 0

Copy entry 3 word for word.
Starting from the GGA-PBE geometry in Alexandria, the XRD peak list of MgCuP4 was simulated for λ = 1.5418 Å (Cu Kα).

Structure:
Cell: 9.8089 9.8089 3.4981 Å, 90.00 90.00 120.00°
Space group P-62m (No. 189)
Symmetry-distinct sites (fractional):
Mg 0.0000 0.6003 0.0000 x3
Cu 0.0000 0.0000 0.0000 x1
Cu 0.3333 0.6667 0.0000 x2
P 0.0000 0.3457 0.0000 x3
P 0.0000 0.8185 0.5000 x3
P 0.2018 0.4246 0.5000 x6

Most intense lines, 2θ = 15–90°, in order of rising 2θ:
2θ (°)  Rel. int.  h k l
18.1  24  1 1 0
31.4  23  1 1 1
31.6  26  3 0 0
33.2  16  2 0 1
36.6  12  2 2 0
38.0  16  2 1 1
38.2  17  3 1 0
41.0  100  3 0 1
52.3  16  0 0 2
54.0  11  5 0 0
56.3  15  3 3 0
80.4  11  3 3 2